La14TbTm: theoretical PXRD pattern (Cu Kα), based on a cell relaxed with PBE.

Most intense lines, 2θ from 10° to 80°, in order of rising 2θ:
- hkl 2 2 2, 29.58 deg, 3.020 Å, I 100
- hkl 4 0 0, 34.11 deg, 2.629 Å, I 17
- hkl 0 4 0, 34.37 deg, 2.609 Å, I 34
- hkl 4 4 0, 49.21 deg, 1.852 Å, I 24
- hkl 6 2 2, 58.29 deg, 1.583 Å, I 15
- hkl 2 6 2, 58.64 deg, 1.574 Å, I 29

Structural model:
```
data_La14TbTm
_chemical_formula_sum 'La28 Tb2 Tm2'
_cell_length_a 10.5144
_cell_length_b 10.4432
_cell_length_c 10.4288
_cell_angle_alpha 90.00
_cell_angle_beta 90.00
_cell_angle_gamma 90.00
_symmetry_space_group_name_H-M 'A m m 2'
_symmetry_Int_Tables_number 38
_symmetry_space_group_name_Hall 'A 2 -2'
loop_
_atom_site_label
_atom_site_type_symbol
_atom_site_fract_x
_atom_site_fract_y
_atom_site_fract_z
La1 La 0.0000 0.0000 0.0000
La2 La 0.0000 0.0000 0.5002
La3 La 0.0000 0.2493 0.2501
La4 La 0.2517 0.0000 0.7510
La5 La 0.2522 0.2492 0.0001
La6 La 0.2529 0.0000 0.2492
La7 La 0.5000 0.2494 0.7501
Tb1 Tb 0.5000 0.0000 0.5001
Tm1 Tm 0.5000 0.0000 0.0000
```